[1]
Diffraction record for Li2Fe3CuO8. The XRD peak list is theoretical, not measured: it uses a DFT-relaxed cell (GGA+U, the Materials Project) and copper Kα.

Peak list (10 most intense, 5 to 70 degrees two-theta, by intensity)
2θ (°)	d/Å	I_rel
18.25	4.862	100.0
43.04	2.101	69.3
35.38	2.537	44.6
18.38	4.828	22.7
62.32	1.490	21.0
56.87	1.619	20.8
62.68	1.482	20.8
35.54	2.526	16.5
36.98	2.431	12.2
65.55	1.424	8.2

Structural model:
```
Li2Fe3CuO8
1.0
2.9797 1.7203 4.8281
-2.9797 1.7203 4.8281
0.0000 -3.4407 4.8281
Li Fe Cu O
2 3 1 8
Direct
0.1267 0.1267 0.1267
0.8733 0.8733 0.8733
0.0000 0.5000 0.5000
0.5000 0.0000 0.5000
0.5000 0.5000 0.0000
0.5000 0.5000 0.5000
0.2618 0.2618 0.2618
0.2648 0.2648 0.7145
0.2648 0.7145 0.2648
0.2855 0.7352 0.7352
0.7145 0.2648 0.2648
0.7352 0.2855 0.7352
0.7352 0.7352 0.2855
0.7382 0.7382 0.7382
```

[2]
Diffraction record for Li3FeCu3O8. The XRD peak list is theoretical, not measured: it uses a DFT-relaxed cell (GGA+U, the Materials Project) and copper Kα.

Peak list (10 most intense, 5 to 70 degrees two-theta, by intensity)
2θ (°)	d/Å	I_rel
18.13	4.893	100.0
43.40	2.085	65.6
35.97	2.497	41.6
62.50	1.486	18.0
63.61	1.463	17.9
57.01	1.616	14.7
66.74	1.402	14.5
47.40	1.918	14.4
37.55	2.395	14.4
36.73	2.447	5.5

Structural model:
```
Li3FeCu3O8
1.0
2.9256 1.6891 4.8932
-2.9256 1.6891 4.8932
0.0000 -3.3782 4.8932
Li Fe Cu O
3 1 3 8
Direct
0.0000 0.5000 0.5000
0.5000 0.0000 0.5000
0.5000 0.5000 0.0000
0.5000 0.5000 0.5000
0.0000 0.0000 0.5000
0.0000 0.5000 0.0000
0.5000 0.0000 0.0000
0.2427 0.2427 0.2427
0.2512 0.7347 0.7347
0.2653 0.2653 0.7488
0.2653 0.7488 0.2653
0.7347 0.2512 0.7347
0.7347 0.7347 0.2512
0.7488 0.2653 0.2653
0.7573 0.7573 0.7573
```

[3]
Diffraction record for Li3Fe3CuO8. The XRD peak list is theoretical, not measured: it uses a DFT-relaxed cell (GGA+U, the Materials Project) and copper Kα.

Peak list (10 most intense, 5 to 70 degrees two-theta, by intensity)
2θ (°)	d/Å	I_rel
18.37	4.829	100.0
45.31	2.001	39.1
42.06	2.148	23.9
37.45	2.402	23.3
35.32	2.541	14.5
64.08	1.453	11.5
62.98	1.476	11.3
59.30	1.558	8.8
47.98	1.896	8.6
38.50	2.339	8.0

Structural model:
```
Li3Fe3CuO8
1.0
5.1172 -2.7877 0.0000
5.1172 2.7877 0.0000
-3.1241 0.0000 4.8289
Li Fe Cu O
3 3 1 8
Direct
0.0000 0.0000 0.0000
0.0000 0.5000 0.0000
0.5000 0.0000 0.0000
0.0000 0.5000 0.5000
0.5000 0.0000 0.5000
0.5000 0.5000 0.5000
0.0000 0.0000 0.5000
0.2298 0.7213 0.7022
0.2409 0.2409 0.2556
0.2531 0.2531 0.7284
0.2787 0.7702 0.2978
0.7213 0.2298 0.7022
0.7469 0.7469 0.2716
0.7591 0.7591 0.7444
0.7702 0.2787 0.2978
```

[4]
Diffraction record for Li2Fe3CuO8. The XRD peak list is theoretical, not measured: it uses a DFT-relaxed cell (GGA+U, the Materials Project) and copper Kα.

Peak list (10 most intense, 5 to 70 degrees two-theta, by intensity)
2θ (°)	d/Å	I_rel
35.44	2.533	100.0
18.32	4.843	57.2
35.61	2.521	50.3
62.70	1.482	37.2
23.68	3.757	25.7
62.51	1.486	25.0
57.03	1.615	24.5
14.94	5.931	24.4
21.14	4.203	22.5
30.11	2.968	21.2

Structural model:
```
Li2Fe3CuO8
1.0
8.3523 0.0000 0.0000
-0.0078 8.3929 0.0000
-0.0028 -0.0022 8.4185
Li Fe Cu O
8 12 4 32
Direct
0.0000 0.0000 0.0000
0.0033 0.4986 0.5012
0.1300 0.1283 0.3740
0.3733 0.6261 0.6276
0.4999 0.9991 0.4986
0.5032 0.4988 0.9980
0.6314 0.8709 0.1283
0.8757 0.3716 0.8715
0.1280 0.3689 0.1268
0.1286 0.6238 0.8694
0.1321 0.8733 0.6270
0.3724 0.3723 0.3752
0.3766 0.1250 0.1307
0.3769 0.8692 0.8739
0.6290 0.3730 0.6305
0.6287 0.6287 0.3743
0.6329 0.1258 0.8744
0.8726 0.6255 0.1263
0.8757 0.8734 0.3709
0.8768 0.1290 0.6265
0.2506 0.2517 0.7491
0.2560 0.7535 0.2551
0.7503 0.7448 0.7540
0.7560 0.2464 0.2486
0.1125 0.1126 0.6310
0.1141 0.6092 0.1132
0.1173 0.8698 0.3941
0.1239 0.6411 0.6445
0.1322 0.3887 0.8874
0.1367 0.8649 0.8634
0.1397 0.1463 0.1243
0.1478 0.3764 0.3600
0.3556 0.8766 0.6400
0.3599 0.6429 0.8767
0.3681 0.3637 0.1364
0.3718 0.8907 0.1141
0.3806 0.1413 0.3557
0.3883 0.3689 0.6092
0.3918 0.1122 0.8888
0.3935 0.6106 0.3712
0.6129 0.8865 0.8685
0.6154 0.3870 0.3902
0.6212 0.1298 0.1074
0.6259 0.3585 0.8535
0.6341 0.6061 0.6171
0.6364 0.1346 0.6359
0.6412 0.8529 0.3783
0.6490 0.6217 0.1389
0.8576 0.1232 0.8576
0.8632 0.3526 0.6230
0.8665 0.6332 0.3656
0.8714 0.1094 0.3903
0.8816 0.8561 0.1448
0.8906 0.6271 0.8904
0.8911 0.8882 0.6153
0.8919 0.3871 0.1295
```

[5]
Diffraction record for Li3FeCu2O6. The XRD peak list is theoretical, not measured: it uses a DFT-relaxed cell (GGA+U, the Materials Project) and copper Kα.

Peak list (10 most intense, 5 to 70 degrees two-theta, by intensity)
2θ (°)	d/Å	I_rel
18.32	4.842	100.0
43.31	2.089	78.0
35.69	2.516	46.8
62.79	1.480	21.4
37.32	2.410	17.1
47.39	1.918	17.1
63.07	1.474	14.4
57.20	1.611	14.4
66.28	1.410	10.3
62.96	1.476	7.3

Structural model:
```
Li3FeCu2O6
1.0
6.4433 -1.4762 0.0000
6.4433 1.4762 0.0000
-1.3924 0.0000 5.7522
Li Fe Cu O
3 1 2 6
Direct
0.0000 0.0000 0.0000
0.3288 0.3288 0.6640
0.6712 0.6712 0.3360
0.0000 0.0000 0.5000
0.3323 0.3323 0.1666
0.6677 0.6677 0.8334
0.1650 0.1650 0.5954
0.1716 0.1716 0.0701
0.4968 0.4968 0.2615
0.5032 0.5032 0.7385
0.8284 0.8284 0.9299
0.8350 0.8350 0.4046
```

[6]
Diffraction record for Li3Fe2Cu2O8. The XRD peak list is theoretical, not measured: it uses a DFT-relaxed cell (GGA+U, the Materials Project) and copper Kα.

Peak list (10 most intense, 5 to 70 degrees two-theta, by intensity)
2θ (°)	d/Å	I_rel
18.06	4.912	100.0
45.50	1.994	70.7
37.07	2.425	59.0
18.20	4.875	46.2
18.47	4.803	32.3
31.74	2.820	23.1
36.89	2.436	19.5
36.66	2.452	19.3
31.90	2.805	15.0
59.86	1.545	14.6

Structural model:
```
Li3Fe2Cu2O8
1.0
5.5830 0.0000 0.0000
0.0080 5.6971 0.0000
2.7122 2.8191 4.8508
Li Fe Cu O
3 2 2 8
Direct
0.0000 0.0000 0.0000
0.0000 0.5000 0.0000
0.5000 0.0000 0.5000
0.5000 0.0000 0.0000
0.5000 0.5000 0.0000
0.0000 0.5000 0.5000
0.5000 0.5000 0.5000
0.2608 0.2345 0.0085
0.2719 0.7370 0.4553
0.2782 0.3137 0.4438
0.2863 0.7824 0.9518
0.7137 0.2176 0.0482
0.7218 0.6863 0.5562
0.7281 0.2630 0.5447
0.7392 0.7655 0.9915
```

[7]
Diffraction record for Li2Fe3CuO8. The XRD peak list is theoretical, not measured: it uses a DFT-relaxed cell (GGA+U, the Materials Project) and copper Kα.

Peak list (10 most intense, 5 to 70 degrees two-theta, by intensity)
2θ (°)	d/Å	I_rel
18.11	4.898	100.0
42.81	2.112	40.1
35.43	2.534	25.1
43.34	2.088	19.4
35.64	2.519	13.0
56.40	1.631	11.8
62.74	1.481	10.9
62.37	1.489	10.2
47.16	1.927	7.9
37.16	2.419	7.0

Structural model:
```
Li2Fe3CuO8
1.0
5.1271 -2.9685 0.0000
5.1271 2.9685 0.0000
-3.4892 0.0000 4.8976
Li Fe Cu O
2 3 1 8
Direct
0.0000 0.5000 0.0000
0.5000 0.0000 0.0000
0.0000 0.0000 0.5000
0.0000 0.5000 0.5000
0.5000 0.0000 0.5000
0.5000 0.5000 0.5000
0.2380 0.2380 0.7215
0.2376 0.7517 0.7095
0.2483 0.7624 0.2905
0.2714 0.2714 0.2882
0.7286 0.7286 0.7118
0.7517 0.2376 0.7095
0.7624 0.2483 0.2905
0.7620 0.7620 0.2785
```

[8]
Diffraction record for Li5Fe3Cu2O10. The XRD peak list is theoretical, not measured: it uses a DFT-relaxed cell (GGA+U, the Materials Project) and copper Kα.

Peak list (10 most intense, 5 to 70 degrees two-theta, by intensity)
2θ (°)	d/Å	I_rel
18.35	4.834	100.0
42.77	2.114	51.9
42.97	2.105	49.2
43.44	2.083	48.1
12.35	7.168	40.5
26.34	3.384	29.9
35.23	2.547	27.0
62.67	1.482	26.4
62.53	1.485	26.2
22.72	3.914	21.3

Structural model:
```
Li5Fe3Cu2O10
1.0
5.1174 0.0000 0.0000
-0.8918 5.0545 0.0000
-1.6713 -2.8755 7.1683
Li Fe Cu O
5 3 2 10
Direct
0.0000 0.0000 0.0000
0.1168 0.2149 0.7236
0.2872 0.5973 0.0855
0.7128 0.4027 0.9145
0.8832 0.7851 0.2764
0.1875 0.3907 0.3857
0.5000 0.0000 0.5000
0.8125 0.6093 0.6143
0.4033 0.8041 0.8105
0.5967 0.1959 0.1895
0.0516 0.6030 0.8381
0.1647 0.7879 0.5545
0.2675 0.0182 0.2673
0.3642 0.1871 0.9554
0.4516 0.3933 0.6382
0.5484 0.6067 0.3618
0.6358 0.8129 0.0446
0.7325 0.9818 0.7327
0.8353 0.2121 0.4455
0.9484 0.3970 0.1619
```